1.
Diffraction record for SrPb. The powder diffractogram is theoretical, not measured: it uses DFT lattice parameters and positions (PBE) and Cu Kα (λ = 1.5418 Å).

The 10 most intense peaks (2θ = 15–90°), low angle first:
2θ = 16.33°, rel. 47
2θ = 18.89°, rel. 44
2θ = 28.88°, rel. 100
2θ = 29.79°, rel. 45
2θ = 30.00°, rel. 47
2θ = 30.83°, rel. 68
2θ = 32.31°, rel. 68
2θ = 34.66°, rel. 44
2θ = 36.83°, rel. 40
2θ = 38.31°, rel. 44

Structural model:
Cell lengths 6.5482, 9.3903, 9.7033 Å; angles 90.00, 90.00, 90.00 degrees
Fractional coordinates of all 16 atoms:
Sr 0.0954 0.0413 0.4355
Sr 0.1152 0.2853 0.7536
Sr 0.3848 0.7147 0.2536
Sr 0.4046 0.9587 0.9355
Sr 0.5954 0.4587 0.5645
Sr 0.6152 0.2147 0.2464
Sr 0.8848 0.7853 0.7464
Sr 0.9046 0.5413 0.0645
Pb 0.1275 0.4045 0.3857
Pb 0.1293 0.1993 0.1131
Pb 0.3707 0.8007 0.6131
Pb 0.3725 0.5955 0.8857
Pb 0.6275 0.0955 0.6143
Pb 0.6293 0.3007 0.8869
Pb 0.8707 0.6993 0.3869
Pb 0.8725 0.9045 0.1143

2.
Diffraction record for Sr4Pb5. The powder diffractogram is theoretical, not measured: it uses DFT lattice parameters and positions (PBE) and Cu Kα (λ = 1.5418 Å).

The 10 most intense peaks (2θ = 15–90°), low angle first:
2θ = 21.56°, rel. 12
2θ = 29.82°, rel. 5
2θ = 30.68°, rel. 100
2θ = 43.95°, rel. 18
2θ = 54.60°, rel. 26
2θ = 60.75°, rel. 15
2θ = 64.01°, rel. 5
2θ = 72.62°, rel. 7
2θ = 78.01°, rel. 6
2θ = 89.00°, rel. 7

Structural model:
Cell lengths 10.0781, 10.0781, 7.1597 Å; angles 90.00, 90.00, 120.00 degrees
Fractional coordinates of all 18 atoms:
Sr 0.0000 0.0000 0.0000
Sr 0.0000 0.0000 0.5000
Sr 0.0000 0.3635 0.2500
Sr 0.0000 0.6365 0.7500
Sr 0.3635 0.0000 0.2500
Sr 0.3635 0.3635 0.7500
Sr 0.6365 0.0000 0.7500
Sr 0.6365 0.6365 0.2500
Pb 0.0000 0.3103 0.7500
Pb 0.0000 0.6897 0.2500
Pb 0.3103 0.0000 0.7500
Pb 0.3103 0.3103 0.2500
Pb 0.3333 0.6667 0.0000
Pb 0.3333 0.6667 0.5000
Pb 0.6667 0.3333 0.0000
Pb 0.6667 0.3333 0.5000
Pb 0.6897 0.0000 0.2500
Pb 0.6897 0.6897 0.7500

3.
Diffraction record for SrTaPb. The powder diffractogram is theoretical, not measured: it uses DFT lattice parameters and positions (PBE) and Cu Kα (λ = 1.5418 Å).

The 10 most intense peaks (2θ = 15–90°), low angle first:
2θ = 32.60°, rel. 100
2θ = 32.94°, rel. 28
2θ = 37.92°, rel. 72
2θ = 54.48°, rel. 23
2θ = 54.94°, rel. 19
2θ = 64.94°, rel. 14
2θ = 65.15°, rel. 24
2θ = 65.56°, rel. 14
2θ = 68.29°, rel. 13
2θ = 89.74°, rel. 13

Structural model:
Cell lengths 3.3687, 3.3687, 8.1568 Å; angles 90.00, 90.00, 120.00 degrees
Fractional coordinates of all 3 atoms:
Sr 0.0000 0.0000 0.0000
Ta 0.3333 0.6667 0.3328
Pb 0.6667 0.3333 0.6284

4.
Diffraction record for Sr3TbPb12. The powder diffractogram is theoretical, not measured: it uses DFT lattice parameters and positions (PBE) and Cu Kα (λ = 1.5418 Å).

The 10 most intense peaks (2θ = 15–90°), low angle first:
2θ = 31.02°, rel. 100
2θ = 35.80°, rel. 17
2θ = 36.05°, rel. 34
2θ = 51.71°, rel. 24
2θ = 51.90°, rel. 12
2θ = 61.37°, rel. 14
2θ = 61.70°, rel. 29
2θ = 64.65°, rel. 12
2θ = 84.48°, rel. 12
2θ = 84.78°, rel. 6

Structural model:
Cell lengths 4.9829, 4.9829, 20.0676 Å; angles 90.00, 90.00, 90.00 degrees
Fractional coordinates of all 16 atoms:
Sr 0.0000 0.0000 0.0000
Sr 0.0000 0.0000 0.2543
Sr 0.0000 0.0000 0.7457
Tb 0.0000 0.0000 0.5000
Pb 0.0000 0.5000 0.1262
Pb 0.0000 0.5000 0.3801
Pb 0.0000 0.5000 0.6199
Pb 0.0000 0.5000 0.8738
Pb 0.5000 0.0000 0.1262
Pb 0.5000 0.0000 0.3801
Pb 0.5000 0.0000 0.6199
Pb 0.5000 0.0000 0.8738
Pb 0.5000 0.5000 0.0000
Pb 0.5000 0.5000 0.2516
Pb 0.5000 0.5000 0.5000
Pb 0.5000 0.5000 0.7484

5.
Diffraction record for Sr2TcPb. The powder diffractogram is theoretical, not measured: it uses DFT lattice parameters and positions (PBE) and Cu Kα (λ = 1.5418 Å).

The 10 most intense peaks (2θ = 15–90°), low angle first:
2θ = 26.88°, rel. 81
2θ = 29.48°, rel. 94
2θ = 35.57°, rel. 41
2θ = 36.19°, rel. 22
2θ = 37.79°, rel. 100
2θ = 39.75°, rel. 60
2θ = 48.64°, rel. 23
2θ = 53.32°, rel. 44
2θ = 63.19°, rel. 22
2θ = 63.43°, rel. 40

Structural model:
Cell lengths 4.7613, 4.7613, 22.3391 Å; angles 90.00, 90.00, 120.00 degrees
Fractional coordinates of all 12 atoms:
Sr 0.0000 0.0000 0.0000
Sr 0.0000 0.0000 0.1797
Sr 0.3333 0.6667 0.6667
Sr 0.3333 0.6667 0.8464
Sr 0.6667 0.3333 0.3333
Sr 0.6667 0.3333 0.5131
Tc 0.0000 0.0000 0.4228
Tc 0.3333 0.6667 0.0894
Tc 0.6667 0.3333 0.7561
Pb 0.0000 0.0000 0.7567
Pb 0.3333 0.6667 0.4234
Pb 0.6667 0.3333 0.0901

6.
Diffraction record for SrTc2Pb. The powder diffractogram is theoretical, not measured: it uses DFT lattice parameters and positions (PBE) and Cu Kα (λ = 1.5418 Å).

The 10 most intense peaks (2θ = 15–90°), low angle first:
2θ = 29.78°, rel. 27
2θ = 31.15°, rel. 22
2θ = 34.93°, rel. 100
2θ = 39.83°, rel. 51
2θ = 42.28°, rel. 25
2θ = 51.41°, rel. 22
2θ = 57.60°, rel. 17
2θ = 61.08°, rel. 17
2θ = 69.16°, rel. 27
2θ = 88.89°, rel. 12

Structural model:
Cell lengths 3.2005, 3.2005, 8.6148 Å; angles 90.00, 90.00, 90.00 degrees
Fractional coordinates of all 4 atoms:
Sr 0.0000 0.0000 0.0000
Tc 0.0000 0.0000 0.5787
Tc 0.5000 0.5000 0.7255
Pb 0.5000 0.5000 0.3369

7.
Diffraction record for Sr4Te5Pb. The powder diffractogram is theoretical, not measured: it uses DFT lattice parameters and positions (PBE) and Cu Kα (λ = 1.5418 Å).

The 10 most intense peaks (2θ = 15–90°), low angle first:
2θ = 26.65°, rel. 100
2θ = 38.04°, rel. 78
2θ = 47.05°, rel. 29
2θ = 54.94°, rel. 9
2θ = 61.95°, rel. 12
2θ = 62.07°, rel. 25
2θ = 68.66°, rel. 9
2θ = 68.76°, rel. 18
2θ = 81.31°, rel. 6
2θ = 87.47°, rel. 15

Structural model:
Cell lengths 17.0870, 17.0870, 17.0870 Å; angles 164.10, 164.10, 22.56 degrees
Fractional coordinates of all 10 atoms:
Sr 0.0993 0.0993 0.0000
Sr 0.3002 0.3002 0.0000
Sr 0.6998 0.6998 0.0000
Sr 0.9007 0.9007 0.0000
Te 0.0000 0.0000 0.0000
Te 0.1999 0.1999 0.0000
Te 0.4010 0.4010 0.0000
Te 0.5990 0.5990 0.0000
Te 0.8001 0.8001 0.0000
Pb 0.5000 0.5000 0.0000

8.
Diffraction record for SrTe4Pb3. The powder diffractogram is theoretical, not measured: it uses DFT lattice parameters and positions (PBE) and Cu Kα (λ = 1.5418 Å).

The 10 most intense peaks (2θ = 15–90°), low angle first:
2θ = 26.99°, rel. 100
2θ = 38.53°, rel. 66
2θ = 38.63°, rel. 13
2θ = 47.62°, rel. 14
2θ = 47.75°, rel. 14
2θ = 55.65°, rel. 14
2θ = 62.89°, rel. 31
2θ = 69.65°, rel. 14
2θ = 69.82°, rel. 14
2θ = 88.76°, rel. 8

Structural model:
Cell lengths 9.3583, 13.2178, 4.6615 Å; angles 90.00, 90.00, 90.00 degrees
Fractional coordinates of all 16 atoms:
Sr 0.0000 0.0000 0.0000
Sr 0.5000 0.5000 0.0000
Te 0.0000 0.2518 0.0000
Te 0.0000 0.7482 0.0000
Te 0.2468 0.5000 0.5000
Te 0.2532 0.0000 0.5000
Te 0.5000 0.2482 0.0000
Te 0.5000 0.7518 0.0000
Te 0.7468 0.0000 0.5000
Te 0.7532 0.5000 0.5000
Pb 0.0000 0.5000 0.0000
Pb 0.2500 0.2500 0.5000
Pb 0.2500 0.7500 0.5000
Pb 0.5000 0.0000 0.0000
Pb 0.7500 0.2500 0.5000
Pb 0.7500 0.7500 0.5000